Entry 1:
Structure and simulated X-ray powder pattern of Zr2CuGe (a crystal structure in Alexandria, relaxed with PBE; Cu Ka).
Kinematic intensities with the Lorentz-polarization factor, no thermal factor.

Peak list (10 most intense, 10 to 90 degrees two-theta, by angle)
d_spacing	intensity
2.600	100.0
2.570	21.2
2.538	18.9
2.525	19.8
2.137	35.1
2.119	25.4
2.111	24.6
1.924	23.9
1.878	21.7
1.344	13.8

Cell and atoms:
```
Zr2CuGe
1.0
5.4633 0.0000 0.0000
0.0000 3.8487 0.0000
-2.5450 0.0000 7.0665
Zr Cu Ge
4 2 2
Direct
0.2036 0.2500 0.4188
0.2037 0.2500 0.9336
0.7963 0.7500 0.0664
0.7964 0.7500 0.5812
0.3550 0.7500 0.2123
0.6450 0.2500 0.7877
0.3445 0.7500 0.7094
0.6555 0.2500 0.2906
```

***

Entry 2:
Structure and simulated X-ray powder pattern of Sc4GaCu2Os (a crystal structure in Alexandria, relaxed with PBE; Cu Ka).
Kinematic intensities with the Lorentz-polarization factor, no thermal factor.

Peak list (10 most intense, 10 to 90 degrees two-theta, by angle)
d_spacing	intensity
7.598	25.2
3.945	16.8
3.779	16.2
3.277	36.7
2.322	99.5
2.312	100.0
1.638	32.3
1.342	15.2
1.337	31.6
1.335	16.0

Cell and atoms:
```
Sc4GaCu2Os
1.0
2.3125 1.3351 7.5977
-2.3125 1.3351 7.5977
0.0000 -2.6702 7.5977
Sc Ga Cu Os
4 1 2 1
Direct
0.1201 0.1201 0.1201
0.3710 0.3710 0.3710
0.6290 0.6290 0.6290
0.8799 0.8799 0.8799
0.5000 0.5000 0.5000
0.2483 0.2483 0.2483
0.7517 0.7517 0.7517
0.0000 0.0000 0.0000
```

***

Entry 3:
Structure and simulated X-ray powder pattern of Ta6VRe (a crystal structure in Alexandria, relaxed with PBE; Cu Ka).
Kinematic intensities with the Lorentz-polarization factor, no thermal factor.

Peak list (10 most intense, 10 to 90 degrees two-theta, by angle)
d_spacing	intensity
4.320	4.7
2.903	3.6
2.307	100.0
2.286	50.1
1.647	8.5
1.617	17.5
1.336	17.0
1.324	34.5
1.154	10.8
1.143	5.8

Cell and atoms:
```
Ta6VRe
1.0
4.5729 0.0000 0.0000
0.0000 4.5729 0.0000
0.0000 0.0000 13.1723
Ta V Re
12 2 2
Direct
0.0000 0.0000 0.2471
0.0000 0.0000 0.7529
0.0000 0.5000 0.1187
0.0000 0.5000 0.3813
0.0000 0.5000 0.6187
0.0000 0.5000 0.8813
0.5000 0.0000 0.1187
0.5000 0.0000 0.3813
0.5000 0.0000 0.6187
0.5000 0.0000 0.8813
0.5000 0.5000 0.2529
0.5000 0.5000 0.7471
0.0000 0.0000 0.0000
0.5000 0.5000 0.5000
0.0000 0.0000 0.5000
0.5000 0.5000 0.0000
```

***

Entry 4:
Structure and simulated X-ray powder pattern of Pu2Bi2Pd (a crystal structure in Alexandria, relaxed with PBE; Cu Ka).
Kinematic intensities with the Lorentz-polarization factor, no thermal factor.

Peak list (10 most intense, 10 to 90 degrees two-theta, by angle)
d_spacing	intensity
3.220	27.0
3.156	25.3
2.959	25.6
2.810	100.0
2.635	28.3
2.493	48.6
2.413	59.6
2.099	18.1
1.439	15.9
1.376	23.3

Cell and atoms:
```
Pu2Bi2Pd
1.0
2.4926 -8.5055 0.0000
2.4926 8.5055 0.0000
0.0000 0.0000 6.3128
Pu Bi Pd
4 4 2
Direct
0.0004 0.9996 0.0000
0.9996 0.0004 0.5000
0.2128 0.7872 0.7553
0.7872 0.2128 0.2553
0.1696 0.8304 0.2543
0.4127 0.5873 0.2484
0.5873 0.4127 0.7484
0.8304 0.1696 0.7543
0.4155 0.5845 0.7469
0.5845 0.4155 0.2469
```

***

Entry 5:
Structure and simulated X-ray powder pattern of TcNiRh (a crystal structure in Alexandria, relaxed with PBE; Cu Ka).
Kinematic intensities with the Lorentz-polarization factor, no thermal factor.

Peak list (10 most intense, 10 to 90 degrees two-theta, by angle)
d_spacing	intensity
2.309	20.4
2.299	14.9
2.147	38.1
2.034	100.0
2.027	43.1
1.572	11.8
1.329	14.9
1.217	17.7
1.130	17.7
1.115	11.5

Cell and atoms:
```
TcNiRh
1.0
4.2945 0.0000 0.0000
0.0000 4.5974 0.0000
0.0000 0.0000 8.0112
Tc Ni Rh
4 4 4
Direct
0.2500 0.1733 0.0000
0.2500 0.6733 0.5000
0.7500 0.3267 0.5000
0.7500 0.8267 0.0000
0.2500 0.1651 0.6575
0.2500 0.6651 0.1575
0.7500 0.3349 0.1575
0.7500 0.8349 0.6575
0.2500 0.1773 0.3239
0.2500 0.6773 0.8239
0.7500 0.3227 0.8239
0.7500 0.8227 0.3239
```

***

Entry 6:
Structure and simulated X-ray powder pattern of RbMgSe (a crystal structure in Alexandria, relaxed with PBE; Cu Ka).
Kinematic intensities with the Lorentz-polarization factor, no thermal factor.

Peak list (10 most intense, 10 to 90 degrees two-theta, by angle)
d_spacing	intensity
6.956	56.8
4.663	44.4
3.700	56.4
3.610	64.0
3.478	34.7
3.448	43.2
3.338	41.3
3.006	100.0
2.899	58.2
2.278	54.7

Cell and atoms:
```
RbMgSe
1.0
7.7113 -4.2926 0.0000
7.7113 4.2926 0.0000
-3.4926 0.0000 7.3014
Rb Mg Se
4 4 4
Direct
0.0641 0.9359 0.5000
0.5682 0.8832 0.4472
0.8832 0.5682 0.9472
0.9359 0.0641 0.0000
0.1438 0.3646 0.4329
0.3347 0.4975 0.8587
0.3646 0.1438 0.9329
0.4975 0.3347 0.3587
0.0164 0.6690 0.6690
0.3445 0.5997 0.2014
0.5997 0.3445 0.7014
0.6690 0.0164 0.1690
```